# 1
Structure and simulated powder XRD pattern of MoPbSeO6 (a DFT-relaxed cell (PBE+U, the Materials Project); Cu Kα (λ = 1.5418 Å)).
Kinematic intensities with the Lorentz-polarization factor, no thermal factor.

Structure:
Lattice parameters (Å, degrees): 7.0618 7.3324 11.0985 80.65 79.90 89.79
Element x y z (fractional)
Mo 0.1594 0.4500 0.2026
Mo 0.1587 0.9527 0.1995
Mo 0.8413 0.0473 0.8005
Mo 0.8406 0.5500 0.7974
Pb 0.2494 0.1386 0.5057
Pb 0.3513 0.2892 0.8415
Pb 0.6487 0.7108 0.1585
Pb 0.7506 0.8614 0.4943
Se 0.2907 0.6405 0.4660
Se 0.3914 0.8057 0.7844
Se 0.6086 0.1943 0.2156
Se 0.7093 0.3595 0.5340
O 0.0859 0.4981 0.7579
O 0.0914 0.1110 0.7563
O 0.1380 0.1848 0.2721
O 0.1730 0.0479 0.0441
O 0.1838 0.4309 0.0465
O 0.1846 0.8422 0.4015
O 0.2048 0.4656 0.3966
O 0.2620 0.7107 0.1764
O 0.4365 0.8599 0.6233
O 0.4720 0.3267 0.6088
O 0.4739 0.0233 0.1747
O 0.4784 0.3932 0.1868
O 0.5216 0.6068 0.8132
O 0.5261 0.9767 0.8253
O 0.5280 0.6733 0.3912
O 0.5635 0.1401 0.3767
O 0.7380 0.2893 0.8236
O 0.7952 0.5344 0.6034
O 0.8154 0.1578 0.5985
O 0.8162 0.5691 0.9535
O 0.8270 0.9521 0.9559
O 0.8620 0.8152 0.7279
O 0.9086 0.8890 0.2437
O 0.9141 0.5019 0.2421

The 12 most intense peaks (2θ = 5–70°), sorted by position:
2theta  I (rel.)
15.84  18
17.47  18
24.78  72
25.63  22
27.98  34
28.35  44
29.27  100
31.11  24
31.26  24
45.81  17
45.98  18
51.41  19

***

# 2
Structure and simulated powder XRD pattern of La2MnRhO6 (a DFT-relaxed cell (PBE+U, the Materials Project); Cu Kα (λ = 1.5418 Å)).
Kinematic intensities with the Lorentz-polarization factor, no thermal factor.

Structure:
Lattice parameters (Å, degrees): 5.6542 5.8309 9.5057 90.00 125.37 90.00
Element x y z (fractional)
La 0.2351 0.0552 0.2491
La 0.2351 0.4448 0.7491
La 0.7649 0.5552 0.2509
La 0.7649 0.9448 0.7509
Mn 0.5000 0.0000 0.0000
Mn 0.5000 0.5000 0.5000
Rh 0.0000 0.0000 0.5000
Rh 0.0000 0.5000 0.0000
O 0.1531 0.2042 0.9536
O 0.1531 0.2958 0.4536
O 0.2503 0.7040 0.9519
O 0.2503 0.7960 0.4519
O 0.3496 0.0277 0.7562
O 0.3496 0.4723 0.2562
O 0.6504 0.5277 0.7438
O 0.6504 0.9723 0.2438
O 0.7497 0.2040 0.5481
O 0.7497 0.2960 0.0481
O 0.8469 0.7042 0.5464
O 0.8469 0.7958 0.0464

The 12 most intense peaks (2θ = 5–70°), sorted by position:
2theta  I (rel.)
30.67  29
31.68  100
32.16  63
32.82  9
44.65  30
46.89  17
50.99  8
56.11  16
57.03  26
58.24  9
66.18  12
67.27  8

***

# 3
Structure and simulated powder XRD pattern of WNO (a DFT-relaxed cell (PBE+U, the Materials Project); Cu Kα (λ = 1.5418 Å)).
Kinematic intensities with the Lorentz-polarization factor, no thermal factor.

Structure:
Lattice parameters (Å, degrees): 5.1237 5.1237 5.1237 36.34 36.34 36.34
Element x y z (fractional)
W 0.0000 0.0000 0.0000
N 0.7255 0.7255 0.7255
O 0.2588 0.2588 0.2588

The 12 most intense peaks (2θ = 5–70°), sorted by position:
2theta  I (rel.)
18.56  100
32.96  63
34.75  40
37.64  12
41.21  47
45.55  23
55.83  17
57.69  17
61.16  24
61.65  13
68.07  8
69.14  6